Record 1
# NdDy12Th2
Theoretical powder diffractogram, Cu Kα, 1.54184 Å. Input: the GGA-PBE geometry in Alexandria.
No peak broadening, texture or thermal motion is included.

Structural model:
Lattice parameters (Å, degrees): 6.5951 6.5951 24.6685 92.24 92.24 115.11
Atoms (fractional coordinates):
Nd  0.2499  0.2499  0.0001
Nd  0.7501  0.7501  0.9999
Dy  0.0474  0.5534  0.2023
Dy  0.0688  0.5948  0.3309
Dy  0.1297  0.6510  0.5548
Dy  0.1626  0.1626  0.5639
Dy  0.2153  0.2153  0.8636
Dy  0.2316  0.7318  0.9253
Dy  0.2682  0.7684  0.0747
Dy  0.2838  0.2838  0.1370
Dy  0.3490  0.8703  0.4452
Dy  0.3505  0.3505  0.4100
Dy  0.4052  0.9312  0.6691
Dy  0.4466  0.9526  0.7977
Dy  0.5534  0.0474  0.2023
Dy  0.5948  0.0688  0.3309
Dy  0.6495  0.6495  0.5900
Dy  0.6510  0.1297  0.5548
Dy  0.7162  0.7162  0.8630
Dy  0.7318  0.2316  0.9253
Dy  0.7684  0.2682  0.0747
Dy  0.7847  0.7847  0.1364
Dy  0.8374  0.8374  0.4361
Dy  0.8703  0.3490  0.4452
Dy  0.9312  0.4052  0.6691
Dy  0.9526  0.4466  0.7977
Th  0.0778  0.0778  0.2700
Th  0.4440  0.4440  0.7309
Th  0.5560  0.5560  0.2691
Th  0.9222  0.9222  0.7300

The 10 most intense peaks (15 to 90 degrees two-theta), by angle:
| d (Å) | 2θ (°) | I/Imax |
| --- | --- | --- |
| 2.972 | 30.07 | 71 |
| 2.938 | 30.43 | 47 |
| 2.857 | 31.31 | 53 |
| 2.781 | 32.18 | 100 |
| 2.773 | 32.28 | 25 |
| 2.748 | 32.58 | 79 |
| 2.692 | 33.29 | 47 |
| 1.965 | 46.20 | 35 |
| 1.556 | 59.41 | 22 |
| 1.493 | 62.18 | 23 |

***

Record 2
# Na8B11C5
Theoretical powder diffractogram, Cu Kα, 1.54184 Å. Input: the GGA-PBE geometry in Alexandria.
No peak broadening, texture or thermal motion is included.

Structural model:
Lattice parameters (Å, degrees): 2.7983 17.1554 5.1665 90.00 90.00 90.00
Atoms (fractional coordinates):
Na  0.0000  0.1222  0.0000
Na  0.0000  0.3740  0.9995
Na  0.0000  0.6260  0.9995
Na  0.0000  0.8778  0.0000
Na  0.5000  0.1230  0.5018
Na  0.5000  0.3740  0.4997
Na  0.5000  0.6260  0.4997
Na  0.5000  0.8770  0.5018
B  0.0000  0.0000  0.3273
B  0.0000  0.2484  0.3490
B  0.0000  0.2482  0.6795
B  0.0000  0.5000  0.3199
B  0.0000  0.5000  0.6507
B  0.0000  0.7516  0.3490
B  0.0000  0.7518  0.6795
B  0.5000  0.0000  0.8276
B  0.5000  0.2482  0.1357
B  0.5000  0.5000  0.8640
B  0.5000  0.7518  0.1357
C  0.0000  0.0000  0.6645
C  0.5000  0.0000  0.1645
C  0.5000  0.2480  0.8366
C  0.5000  0.5000  0.1629
C  0.5000  0.7520  0.8366

The 10 most intense peaks (15 to 90 degrees two-theta), by angle:
| d (Å) | 2θ (°) | I/Imax |
| --- | --- | --- |
| 2.583 | 34.73 | 12 |
| 2.461 | 36.52 | 16 |
| 2.213 | 40.78 | 51 |
| 2.144 | 42.14 | 38 |
| 2.134 | 42.35 | 100 |
| 1.617 | 56.96 | 9 |
| 1.467 | 63.42 | 18 |
| 1.236 | 77.15 | 20 |
| 1.211 | 79.11 | 17 |
| 1.183 | 81.37 | 10 |

***

Record 3
# Na2TbHgBi2
Theoretical powder diffractogram, Cu Kα, 1.54184 Å. Input: the GGA-PBE geometry in Alexandria.
No peak broadening, texture or thermal motion is included.

Structural model:
Lattice parameters (Å, degrees): 4.9445 9.4069 7.5357 90.00 90.00 90.00
Atoms (fractional coordinates):
Na  0.0000  0.0278  0.0000
Na  0.0000  0.9722  0.5000
Na  0.5000  0.1540  0.2843
Na  0.5000  0.8460  0.7843
Tb  0.5000  0.4933  0.9633
Tb  0.5000  0.5067  0.4633
Hg  0.0000  0.3169  0.5935
Hg  0.0000  0.6831  0.0935
Bi  0.0000  0.3512  0.1803
Bi  0.0000  0.6488  0.6803
Bi  0.5000  0.1891  0.7501
Bi  0.5000  0.8109  0.2501

The 10 most intense peaks (15 to 90 degrees two-theta), by angle:
| d (Å) | 2θ (°) | I/Imax |
| --- | --- | --- |
| 5.881 | 15.06 | 23 |
| 3.990 | 22.28 | 22 |
| 3.785 | 23.51 | 46 |
| 2.997 | 29.81 | 42 |
| 2.941 | 30.40 | 33 |
| 2.855 | 31.33 | 59 |
| 2.648 | 33.85 | 100 |
| 2.527 | 35.52 | 27 |
| 2.472 | 36.34 | 46 |
| 2.179 | 41.45 | 34 |

***

Record 4
# Na2ScTlCl6
Theoretical powder diffractogram, Cu Kα, 1.54184 Å. Input: the GGA-PBE geometry in Alexandria.
No peak broadening, texture or thermal motion is included.

Structural model:
Lattice parameters (Å, degrees): 7.6719 7.6719 7.6719 55.13 55.13 55.13
Atoms (fractional coordinates):
Na  0.0000  0.0000  0.0000
Na  0.4820  0.4820  0.4820
Sc  0.6772  0.6772  0.6772
Tl  0.1976  0.1976  0.1976
Cl  0.0437  0.4462  0.7477
Cl  0.2993  0.8494  0.6371
Cl  0.4462  0.7477  0.0437
Cl  0.6371  0.2993  0.8494
Cl  0.7477  0.0437  0.4462
Cl  0.8494  0.6371  0.2993

The 10 most intense peaks (15 to 90 degrees two-theta), by angle:
| d (Å) | 2θ (°) | I/Imax |
| --- | --- | --- |
| 5.863 | 15.11 | 33 |
| 5.197 | 17.06 | 100 |
| 3.815 | 23.32 | 64 |
| 3.550 | 25.09 | 32 |
| 3.114 | 28.67 | 69 |
| 3.037 | 29.41 | 30 |
| 2.394 | 37.57 | 62 |
| 2.261 | 39.88 | 30 |
| 2.097 | 43.14 | 34 |
| 2.050 | 44.19 | 35 |

***

Record 5
# GaAg2Au4
Theoretical powder diffractogram, Cu Kα, 1.54184 Å. Input: the GGA-PBE geometry in Alexandria.
No peak broadening, texture or thermal motion is included.

Structural model:
Lattice parameters (Å, degrees): 5.6323 5.6323 4.1782 90.00 90.00 93.12
Atoms (fractional coordinates):
Ga  0.0000  0.0000  0.0000
Ag  0.3118  0.3118  0.5000
Ag  0.6882  0.6882  0.5000
Au  0.0000  0.5000  0.0000
Au  0.2027  0.7973  0.5000
Au  0.5000  0.0000  0.0000
Au  0.7973  0.2027  0.5000

The 10 most intense peaks (15 to 90 degrees two-theta), by angle:
| d (Å) | 2θ (°) | I/Imax |
| --- | --- | --- |
| 4.089 | 21.73 | 20 |
| 2.840 | 31.50 | 29 |
| 2.462 | 36.49 | 10 |
| 2.333 | 38.59 | 100 |
| 2.190 | 41.22 | 20 |
| 2.089 | 43.31 | 23 |
| 2.045 | 44.30 | 13 |
| 1.936 | 46.92 | 12 |
| 1.750 | 52.27 | 10 |
| 1.248 | 76.30 | 14 |

***

Record 6
# Li3TmMg9
Theoretical powder diffractogram, Cu Kα, 1.54184 Å. Input: the GGA-PBE geometry in Alexandria.
No peak broadening, texture or thermal motion is included.

Structural model:
Lattice parameters (Å, degrees): 7.7644 7.7644 7.7229 97.02 97.02 138.54
Atoms (fractional coordinates):
Li  0.0000  0.0000  0.0000
Li  0.0000  0.5000  0.5000
Li  0.5000  0.0000  0.5000
Tm  0.5000  0.5000  0.5000
Mg  0.0089  0.7953  0.2919
Mg  0.1501  0.5042  0.1531
Mg  0.2047  0.9911  0.7081
Mg  0.4958  0.8499  0.8469
Mg  0.5000  0.5000  0.0000
Mg  0.5042  0.1501  0.1531
Mg  0.7953  0.0089  0.2919
Mg  0.8499  0.4958  0.8469
Mg  0.9911  0.2047  0.7081

The 10 most intense peaks (15 to 90 degrees two-theta), by angle:
| d (Å) | 2θ (°) | I/Imax |
| --- | --- | --- |
| 5.130 | 17.29 | 89 |
| 4.861 | 18.25 | 57 |
| 3.533 | 25.21 | 63 |
| 3.503 | 25.43 | 40 |
| 3.244 | 27.50 | 58 |
| 2.914 | 30.68 | 43 |
| 2.893 | 30.90 | 57 |
| 2.566 | 34.97 | 57 |
| 2.534 | 35.43 | 100 |
| 2.416 | 37.21 | 48 |

***

Record 7
# HIrRu
Theoretical powder diffractogram, Cu Kα, 1.54184 Å. Input: the GGA-PBE geometry in Alexandria.
No peak broadening, texture or thermal motion is included.

Structural model:
Lattice parameters (Å, degrees): 5.1954 5.1954 4.6443 90.00 90.00 149.23
Atoms (fractional coordinates):
H  0.0791  0.9209  0.7500
H  0.9209  0.0791  0.2500
Ir  0.2772  0.7228  0.2500
Ir  0.7228  0.2772  0.7500
Ru  0.4453  0.5547  0.7500
Ru  0.5547  0.4453  0.2500

The 10 most intense peaks (15 to 90 degrees two-theta), by angle:
| d (Å) | 2θ (°) | I/Imax |
| --- | --- | --- |
| 5.009 | 17.71 | 42 |
| 2.658 | 33.72 | 32 |
| 2.505 | 35.85 | 23 |
| 2.322 | 38.78 | 58 |
| 2.307 | 39.04 | 60 |
| 2.204 | 40.94 | 55 |
| 1.933 | 47.01 | 100 |
| 1.749 | 52.31 | 18 |
| 1.251 | 76.05 | 24 |
| 1.114 | 87.54 | 17 |

***

Record 8
# Sr3LiPd2
Theoretical powder diffractogram, Cu Kα, 1.54184 Å. Input: the GGA-PBE geometry in Alexandria.
No peak broadening, texture or thermal motion is included.

Structural model:
Lattice parameters (Å, degrees): 6.3008 12.1596 10.1123 90.00 109.02 90.00
Atoms (fractional coordinates):
Sr  0.1663  0.2330  0.3263
Sr  0.1663  0.2670  0.8263
Sr  0.2286  0.5896  0.9849
Sr  0.2286  0.9104  0.4849
Sr  0.2970  0.5464  0.6093
Sr  0.2970  0.9536  0.1093
Sr  0.7030  0.0464  0.8907
Sr  0.7030  0.4536  0.3907
Sr  0.7714  0.0896  0.5151
Sr  0.7714  0.4104  0.0151
Sr  0.8337  0.7330  0.1737
Sr  0.8337  0.7670  0.6737
Li  0.4028  0.6915  0.3322
Li  0.4028  0.8085  0.8322
Li  0.5972  0.1915  0.1678
Li  0.5972  0.3085  0.6678
Pd  0.1587  0.5084  0.2789
Pd  0.1587  0.9916  0.7789
Pd  0.3459  0.1349  0.6260
Pd  0.3459  0.3651  0.1260
Pd  0.6541  0.6349  0.8740
Pd  0.6541  0.8651  0.3740
Pd  0.8413  0.0084  0.2211
Pd  0.8413  0.4916  0.7211

The 10 most intense peaks (15 to 90 degrees two-theta), by angle:
| d (Å) | 2θ (°) | I/Imax |
| --- | --- | --- |
| 5.130 | 17.28 | 53 |
| 3.732 | 23.84 | 75 |
| 3.352 | 26.60 | 99 |
| 3.137 | 28.45 | 61 |
| 3.005 | 29.73 | 78 |
| 2.978 | 30.00 | 78 |
| 2.588 | 34.66 | 50 |
| 2.555 | 35.13 | 51 |
| 2.521 | 35.61 | 100 |
| 2.487 | 36.11 | 96 |

***

Record 9
# Y2Pd5Pt4
Theoretical powder diffractogram, Cu Kα, 1.54184 Å. Input: the GGA-PBE geometry in Alexandria.
No peak broadening, texture or thermal motion is included.

Structural model:
Lattice parameters (Å, degrees): 5.8714 5.8714 8.6268 121.74 121.74 56.23
Atoms (fractional coordinates):
Y  0.1986  0.1986  0.2684
Y  0.8014  0.8014  0.7316
Pd  0.2464  0.7301  0.3245
Pd  0.2699  0.7536  0.6755
Pd  0.5000  0.5000  0.0000
Pd  0.7301  0.2464  0.3245
Pd  0.7536  0.2699  0.6755
Pt  0.2388  0.2388  0.6321
Pt  0.2400  0.2400  0.9840
Pt  0.7600  0.7600  0.0160
Pt  0.7612  0.7612  0.3679

The 10 most intense peaks (15 to 90 degrees two-theta), by angle:
| d (Å) | 2θ (°) | I/Imax |
| --- | --- | --- |
| 4.600 | 19.30 | 15 |
| 4.157 | 21.38 | 13 |
| 2.767 | 32.36 | 14 |
| 2.421 | 37.13 | 53 |
| 2.408 | 37.34 | 24 |
| 2.305 | 39.08 | 100 |
| 2.078 | 43.54 | 28 |
| 1.993 | 45.52 | 40 |
| 1.465 | 63.52 | 16 |
| 1.383 | 67.76 | 13 |

***

Record 10
# Ca2Cd16Pb
Theoretical powder diffractogram, Cu Kα, 1.54184 Å. Input: the GGA-PBE geometry in Alexandria.
No peak broadening, texture or thermal motion is included.

Structural model:
Lattice parameters (Å, degrees): 7.7645 7.7645 7.7645 83.77 83.77 83.77
Atoms (fractional coordinates):
Ca  0.0000  0.0000  0.0000
Ca  0.3200  0.3200  0.3200
Cd  0.0138  0.0138  0.4910
Cd  0.0138  0.4910  0.0138
Cd  0.1495  0.6687  0.6687
Cd  0.3043  0.3043  0.8328
Cd  0.3043  0.8328  0.3043
Cd  0.3500  0.6586  0.9736
Cd  0.3500  0.9736  0.6586
Cd  0.4910  0.0138  0.0138
Cd  0.6586  0.3500  0.9736
Cd  0.6586  0.9736  0.3500
Cd  0.6687  0.1495  0.6687
Cd  0.6687  0.6687  0.1495
Cd  0.7677  0.7677  0.7677
Cd  0.8328  0.3043  0.3043
Cd  0.9736  0.3500  0.6586
Cd  0.9736  0.6586  0.3500
Pb  0.5606  0.5606  0.5606

The 10 most intense peaks (15 to 90 degrees two-theta), by angle:
| d (Å) | 2θ (°) | I/Imax |
| --- | --- | --- |
| 2.993 | 29.85 | 29 |
| 2.859 | 31.28 | 18 |
| 2.592 | 34.61 | 46 |
| 2.561 | 35.04 | 72 |
| 2.474 | 36.31 | 43 |
| 2.296 | 39.24 | 100 |
| 2.232 | 40.41 | 35 |
| 1.536 | 60.27 | 18 |
| 1.496 | 62.02 | 25 |
| 1.444 | 64.54 | 21 |

***

Record 11
# Er6AlTl2
Theoretical powder diffractogram, Cu Kα, 1.54184 Å. Input: the GGA-PBE geometry in Alexandria.
No peak broadening, texture or thermal motion is included.

Structural model:
Lattice parameters (Å, degrees): 8.7446 8.7446 3.7352 90.00 90.00 120.00
Atoms (fractional coordinates):
Er  0.0000  0.3762  0.0000
Er  0.0000  0.7203  0.5000
Er  0.2797  0.2797  0.5000
Er  0.3762  0.0000  0.0000
Er  0.6238  0.6238  0.0000
Er  0.7203  0.0000  0.5000
Al  0.0000  0.0000  0.0000
Tl  0.3333  0.6667  0.5000
Tl  0.6667  0.3333  0.5000

The 10 most intense peaks (15 to 90 degrees two-theta), by angle:
| d (Å) | 2θ (°) | I/Imax |
| --- | --- | --- |
| 2.862 | 31.25 | 32 |
| 2.840 | 31.50 | 100 |
| 2.659 | 33.71 | 32 |
| 2.524 | 35.56 | 64 |
| 2.272 | 39.67 | 15 |
| 1.887 | 48.23 | 18 |
| 1.868 | 48.76 | 13 |
| 1.575 | 58.60 | 22 |
| 1.511 | 61.34 | 16 |
| 1.501 | 61.79 | 26 |